Starting from a cell relaxed with PBE, the X-ray powder pattern of CaCe3S6 was calculated for Cu Kα (weighted mean of Kα1 and Kα2).
Peak positions follow from Bragg's law for the DFT cell and can differ from measured ones.

Principal peaks in the range 2θ from 10° to 80°, sorted by position:
| (hkl) | 2θ/deg | I (rel.) |
| --- | --- | --- |
| 0 2 1 | 18.57 | 17 |
| 0 0 3 | 19.11 | 52 |
| 2 1 1 | 24.01 | 100 |
| 1 1 3 | 24.43 | 34 |
| 3 -2 2 | 26.48 | 27 |
| 4 -1 2 | 34.29 | 36 |
| 2 1 4 | 34.75 | 41 |
| 3 2 1 | 39.13 | 18 |
| 1 4 0 | 40.64 | 41 |
| 2 -1 6 | 41.83 | 27 |
| 5 -1 3 | 45.27 | 20 |
| 4 -1 5 | 45.76 | 19 |

Structural model:
```
data_CaCe3S6
_chemical_formula_sum 'Ca6 Ce18 S36'
_cell_length_a 11.7477
_cell_length_b 11.7477
_cell_length_c 13.9335
_cell_angle_alpha 90.00
_cell_angle_beta 90.00
_cell_angle_gamma 120.00
_space_group_name_H-M_alt 'R -3'
_space_group_IT_number 148
_space_group_name_Hall '-R 3'
loop_
_atom_site_label
_atom_site_type_symbol
_atom_site_fract_x
_atom_site_fract_y
_atom_site_fract_z
Ca1 Ca 0.0000 0.0000 0.0000
Ca2 Ca 0.0000 0.0000 0.5000
Ce1 Ce 0.0465 0.2692 0.2039
S1 S 0.0235 0.2189 0.3998
S2 S 0.0306 0.1917 0.8715
```